Computed PXRD pattern of NbAlBr8 for Cu Kα, 1.54184 Å, from DFT lattice parameters and positions (GGA-PBE).

Cell: 10.4783 10.4783 9.2310 Å, 90.00 90.00 128.02°
Fractional positions:
1 Nb 0.1134 0.8866 0.7500
2 Nb 0.8866 0.1134 0.2500
3 Al 0.3140 0.6860 0.7500
4 Al 0.6860 0.3140 0.2500
5 Br 0.0339 0.5721 0.7500
6 Br 0.1342 0.8658 0.0155
7 Br 0.1342 0.8658 0.4845
8 Br 0.1728 0.2397 0.2500
9 Br 0.2397 0.1728 0.7500
10 Br 0.3796 0.6204 0.5424
11 Br 0.3796 0.6204 0.9576
12 Br 0.4279 0.9661 0.7500
13 Br 0.5721 0.0339 0.2500
14 Br 0.6204 0.3796 0.0424
15 Br 0.6204 0.3796 0.4576
16 Br 0.7603 0.8272 0.2500
17 Br 0.8272 0.7603 0.7500
18 Br 0.8658 0.1342 0.5155
19 Br 0.8658 0.1342 0.9845
20 Br 0.9661 0.4279 0.2500

The 12 most intense peaks (2θ from 15° to 90°), most intense first:
d (Å), I (rel.)
3.291, 100
3.255, 33
2.298, 19
1.889, 18
1.982, 18
2.308, 15
2.925, 14
2.495, 11
1.883, 9
2.112, 8
4.592, 6
4.029, 6

***

Computed PXRD pattern of Nd4AlSe2Br for Cu Kα, 1.54184 Å, from DFT lattice parameters and positions (GGA-PBE).

Cell: 7.4817 4.1318 7.6272 Å, 90.00 107.68 90.00°
Fractional positions:
1 Nd 0.2338 0.0000 0.2274
2 Nd 0.2410 0.5000 0.7553
3 Nd 0.7590 0.5000 0.2447
4 Nd 0.7662 0.0000 0.7726
5 Al 0.5000 0.0000 0.0000
6 Se 0.0000 0.0000 0.5000
7 Se 0.0000 0.5000 0.0000
8 Br 0.5000 0.5000 0.5000

The 12 most intense peaks (2θ from 15° to 90°), most intense first:
d (Å), I (rel.)
3.030, 100
3.049, 51
2.164, 38
2.135, 37
2.228, 20
1.710, 19
3.421, 18
2.066, 17
1.515, 12
3.565, 11
1.817, 10
1.782, 10

***

Computed PXRD pattern of AlPBr for Cu Kα, 1.54184 Å, from DFT lattice parameters and positions (GGA-PBE).

Cell: 3.8590 3.8590 5.2304 Å, 90.00 90.00 120.00°
Fractional positions:
1 Al 0.0000 0.0000 0.0000
2 P 0.3333 0.6667 0.8493
3 Br 0.6667 0.3333 0.3602

The 12 most intense peaks (2θ from 15° to 90°), most intense first:
d (Å), I (rel.)
2.816, 100
1.929, 26
2.060, 22
3.342, 18
1.592, 17
1.553, 16
1.228, 14
2.615, 14
1.546, 12
5.230, 9
1.137, 7
1.408, 6

***

Computed PXRD pattern of AlPbBr4 for Cu Kα, 1.54184 Å, from DFT lattice parameters and positions (GGA-PBE).

Cell: 6.4353 6.4353 6.4353 Å, 60.00 60.00 60.00°
Fractional positions:
1 Al 0.0000 0.0000 0.0000
2 Pb 0.2500 0.2500 0.2500
3 Br 0.1244 0.6252 0.6252
4 Br 0.6252 0.1244 0.6252
5 Br 0.6252 0.6252 0.1244
6 Br 0.6252 0.6252 0.6252

The 12 most intense peaks (2θ from 15° to 90°), most intense first:
d (Å), I (rel.)
2.744, 100
1.751, 35
2.627, 33
3.218, 33
1.609, 25
1.185, 23
4.550, 22
5.254, 20
1.858, 14
1.372, 13
1.388, 12
2.035, 11

***

Computed PXRD pattern of AlPbBr2 for Cu Kα, 1.54184 Å, from DFT lattice parameters and positions (GGA-PBE).

Cell: 3.5888 3.6108 8.6653 Å, 90.00 90.00 90.00°
Fractional positions:
1 Al 0.0000 0.0000 0.0000
2 Pb 0.0000 0.0000 0.5000
3 Br 0.5000 0.5000 0.2276
4 Br 0.5000 0.5000 0.7724

The 12 most intense peaks (2θ from 15° to 90°), most intense first:
d (Å), I (rel.)
2.774, 100
2.764, 99
2.545, 81
3.333, 42
3.316, 42
1.650, 38
1.511, 32
1.507, 31
1.910, 27
2.166, 22
2.442, 22
2.888, 22

***

Computed PXRD pattern of Pm6AlBr8 for Cu Kα, 1.54184 Å, from DFT lattice parameters and positions (GGA-PBE).

Cell: 11.6597 11.6597 11.6597 Å, 36.65 36.65 36.65°
Fractional positions:
1 Pm 0.1376 0.4473 0.7571
2 Pm 0.2429 0.8624 0.5527
3 Pm 0.4473 0.7571 0.1376
4 Pm 0.5527 0.2429 0.8624
5 Pm 0.7571 0.1376 0.4473
6 Pm 0.8624 0.5527 0.2429
7 Al 0.5000 0.5000 0.5000
8 Br 0.0530 0.7334 0.3932
9 Br 0.1667 0.1667 0.1667
10 Br 0.2666 0.6068 0.9470
11 Br 0.3932 0.0530 0.7334
12 Br 0.6068 0.9470 0.2666
13 Br 0.7334 0.3932 0.0530
14 Br 0.8333 0.8333 0.8333
15 Br 0.9470 0.2666 0.6068

The 12 most intense peaks (2θ from 15° to 90°), most intense first:
d (Å), I (rel.)
3.039, 100
2.182, 37
2.117, 31
1.737, 18
3.666, 15
1.376, 14
1.343, 14
5.432, 12
1.519, 11
1.234, 10
2.576, 9
1.810, 7

***

Computed PXRD pattern of PmAlBr for Cu Kα, 1.54184 Å, from DFT lattice parameters and positions (GGA-PBE).

Cell: 11.8657 11.8657 11.8657 Å, 20.83 20.83 20.83°
Fractional positions:
1 Pm 0.0615 0.0615 0.0615
2 Pm 0.9385 0.9385 0.9385
3 Al 0.3389 0.3389 0.3389
4 Al 0.6611 0.6611 0.6611
5 Br 0.2211 0.2211 0.2211
6 Br 0.7789 0.7789 0.7789

The 12 most intense peaks (2θ from 15° to 90°), most intense first:
d (Å), I (rel.)
2.977, 100
3.695, 61
2.145, 48
5.802, 38
2.826, 33
2.409, 21
1.741, 20
1.437, 19
1.352, 18
2.067, 17
2.012, 15
2.541, 15

***

Computed PXRD pattern of AlPtBr2 for Cu Kα, 1.54184 Å, from DFT lattice parameters and positions (GGA-PBE).

Cell: 5.3423 3.6528 6.1425 Å, 90.00 103.31 90.00°
Fractional positions:
1 Al 0.0000 0.0000 0.0000
2 Pt 0.0970 0.5000 0.7834
3 Br 0.5901 0.5000 0.8315
4 Br 0.9890 0.0000 0.3777

The 12 most intense peaks (2θ from 15° to 90°), most intense first:
d (Å), I (rel.)
3.117, 100
5.199, 65
2.989, 40
2.599, 28
2.313, 26
1.905, 25
2.126, 23
1.748, 22
2.118, 21
2.614, 21
1.888, 20
3.653, 18

***

Computed PXRD pattern of AlPt2Br for Cu Kα, 1.54184 Å, from DFT lattice parameters and positions (GGA-PBE).

Cell: 3.9993 3.4865 7.1103 Å, 90.00 106.02 90.00°
Fractional positions:
1 Al 0.0000 0.0000 0.0000
2 Pt 0.1284 0.5000 0.2614
3 Pt 0.6060 0.0000 0.2158
4 Br 0.8692 0.5000 0.7346

The 12 most intense peaks (2θ from 15° to 90°), most intense first:
d (Å), I (rel.)
2.581, 100
3.417, 70
2.280, 52
2.273, 44
1.898, 23
1.891, 22
2.000, 21
1.314, 15
1.553, 14
1.743, 14
1.240, 10
1.730, 10

***

Computed PXRD pattern of RbAlBr4 for Cu Kα, 1.54184 Å, from DFT lattice parameters and positions (GGA-PBE).

Cell: 8.9143 8.9143 8.9143 Å, 103.97 103.97 121.13°
Fractional positions:
1 Rb 0.3750 0.6250 0.7500
2 Rb 0.6250 0.3750 0.2500
3 Al 0.1250 0.8750 0.2500
4 Al 0.8750 0.1250 0.7500
5 Br 0.1388 0.7176 0.4212
6 Br 0.2036 0.2824 0.9212
7 Br 0.2824 0.2036 0.4212
8 Br 0.2824 0.8612 0.0788
9 Br 0.7176 0.1388 0.9212
10 Br 0.7176 0.7964 0.5788
11 Br 0.7964 0.7176 0.0788
12 Br 0.8612 0.2824 0.5788

The 12 most intense peaks (2θ from 15° to 90°), most intense first:
d (Å), I (rel.)
5.490, 100
3.424, 97
3.377, 95
2.876, 75
2.822, 42
2.721, 42
2.130, 33
2.228, 31
1.830, 28
2.326, 27
2.745, 22
1.609, 21

***

Computed PXRD pattern of RbAlBr4 for Cu Kα, 1.54184 Å, from DFT lattice parameters and positions (GGA-PBE).

Cell: 11.8055 7.6299 10.4852 Å, 90.00 90.00 90.00°
Fractional positions:
1 Rb 0.1963 0.2500 0.2132
2 Rb 0.3037 0.7500 0.7132
3 Rb 0.6963 0.2500 0.2868
4 Rb 0.8037 0.7500 0.7868
5 Al 0.0566 0.2500 0.6870
6 Al 0.4434 0.7500 0.1870
7 Al 0.5566 0.2500 0.8130
8 Al 0.9434 0.7500 0.3130
9 Br 0.0614 0.0037 0.8200
10 Br 0.0614 0.4963 0.8200
11 Br 0.1092 0.7500 0.4302
12 Br 0.2193 0.2500 0.5615
13 Br 0.2807 0.7500 0.0615
14 Br 0.3908 0.2500 0.9302
15 Br 0.4386 0.5037 0.3200
16 Br 0.4386 0.9963 0.3200
17 Br 0.5614 0.0037 0.6800
18 Br 0.5614 0.4963 0.6800
19 Br 0.6092 0.7500 0.0698
20 Br 0.7193 0.2500 0.9385
21 Br 0.7807 0.7500 0.4385
22 Br 0.8908 0.2500 0.5698
23 Br 0.9386 0.5037 0.1800
24 Br 0.9386 0.9963 0.1800

The 12 most intense peaks (2θ from 15° to 90°), most intense first:
d (Å), I (rel.)
3.065, 100
3.204, 93
3.147, 88
3.430, 87
3.178, 80
2.841, 65
1.907, 64
1.894, 60
3.351, 56
4.058, 53
3.318, 50
3.487, 39

***

Computed PXRD pattern of Rb2AlSbBr6 for Cu Kα, 1.54184 Å, from DFT lattice parameters and positions (GGA-PBE).

Cell: 7.9421 7.9421 7.9421 Å, 120.05 120.05 89.91°
Fractional positions:
1 Rb 0.2500 0.7500 0.5000
2 Rb 0.7500 0.2500 0.5000
3 Al 0.0000 0.0000 0.0000
4 Sb 0.5000 0.5000 0.0000
5 Br 0.2396 0.2396 0.0000
6 Br 0.2401 0.2401 0.4803
7 Br 0.2401 0.7599 0.0000
8 Br 0.7599 0.2401 0.0000
9 Br 0.7604 0.7604 0.0000
10 Br 0.7599 0.7599 0.5197

The 12 most intense peaks (2θ from 15° to 90°), most intense first:
d (Å), I (rel.)
2.807, 100
3.241, 80
1.985, 71
1.693, 33
1.621, 24
1.146, 23
1.256, 20
3.970, 19
5.614, 18
1.288, 13
3.386, 11
2.576, 10